Record 1
This entry pairs a crystal structure of GdSi3Ir with its theoretical X-ray powder pattern. Radiation: Cu Kα, 1.54184 Å. Structure: a crystal structure in the Materials Project, relaxed with PBE.
Neutral-atom scattering factors, no anomalous dispersion.

Largest 10 diffraction maxima, in order of falling intensity, 5 to 70 degrees two-theta:
- 2.586 Å, 34.7 deg, rel. 100, (1 0 3)
- 2.978 Å, 30.0 deg, rel. 63, (1 1 0)
- 1.633 Å, 56.3 deg, rel. 50, (2 1 3)
- 3.871 Å, 23.0 deg, rel. 50, (1 0 1)
- 2.106 Å, 42.9 deg, rel. 44, (2 0 0)
- 2.547 Å, 35.2 deg, rel. 42, (1 1 2)
- 4.913 Å, 18.1 deg, rel. 22, (0 0 2)
- 1.781 Å, 51.3 deg, rel. 18, (1 0 5)
- 1.435 Å, 65.0 deg, rel. 17, (1 1 6)
- 1.360 Å, 69.1 deg, rel. 15, (2 1 5)

Structural model:
```
10
Lattice="4.2117 0.0000 0.0000 0.0000 4.2117 0.0000 0.0000 0.0000 9.8270" Properties=species:S:1:pos:R:3 pbc="T T T"
Gd 0.0000 0.0000 0.0000
Gd 2.1059 2.1059 4.9135
Si 0.0000 0.0000 5.7406
Si 0.0000 2.1059 2.3023
Si 0.0000 2.1059 7.2158
Si 2.1059 0.0000 2.3023
Si 2.1059 0.0000 7.2158
Si 2.1059 2.1059 0.8271
Ir 0.0000 0.0000 3.3951
Ir 2.1059 2.1059 8.3086
```

***

Record 2
This entry pairs a crystal structure of GdSi2Ir2 with its theoretical X-ray powder pattern. Radiation: Cu Kα, 1.54184 Å. Structure: a crystal structure in the Materials Project, relaxed with PBE.
Neutral-atom scattering factors, no anomalous dispersion.

Largest 10 diffraction maxima, in order of falling intensity, 5 to 70 degrees two-theta:
- 2.510 Å, 35.8 deg, rel. 100, (1 1 2)
- 2.047 Å, 44.2 deg, rel. 34, (2 0 0)
- 5.036 Å, 17.6 deg, rel. 24, (0 0 2)
- 1.589 Å, 58.1 deg, rel. 20, (2 0 4)
- 2.518 Å, 35.7 deg, rel. 20, (0 0 4)
- 1.899 Å, 47.9 deg, rel. 20, (1 1 4)
- 1.452 Å, 64.1 deg, rel. 18, (1 1 6)
- 2.596 Å, 34.5 deg, rel. 14, (1 0 3)
- 3.793 Å, 23.5 deg, rel. 13, (1 0 1)
- 1.448 Å, 64.3 deg, rel. 11, (2 2 0)

Structural model:
```
10
Lattice="4.0948 0.0000 0.0000 0.0000 4.0948 0.0000 0.0000 0.0000 10.0729" Properties=species:S:1:pos:R:3 pbc="T T T"
Gd 0.0000 0.0000 0.0000
Gd 2.0474 2.0474 5.0365
Si 0.0000 0.0000 3.8068
Si 0.0000 0.0000 6.2661
Si 2.0474 2.0474 1.2297
Si 2.0474 2.0474 8.8432
Ir 0.0000 2.0474 2.5182
Ir 0.0000 2.0474 7.5547
Ir 2.0474 0.0000 2.5182
Ir 2.0474 0.0000 7.5547
```